Starting from DFT lattice parameters and positions (GGA-PBE), the powder X-ray diffraction pattern of SrLi4Cu2 was calculated for a wavelength of 1.5418 Å.
Peak positions follow from Bragg's law for the DFT cell and can differ from measured ones.

Structure:
abc: 8.3495 8.3495 4.2018
angles: 90.00 90.00 150.62
Atoms (fractional coordinates):
Sr (0.0000, 0.0000, 0.0000)
Li (0.1834, 0.8166, 0.5000)
Li (0.3205, 0.6795, 0.0000)
Li (0.6795, 0.3205, 0.0000)
Li (0.8166, 0.1834, 0.5000)
Cu (0.4232, 0.5768, 0.5000)
Cu (0.5768, 0.4232, 0.5000)

Peak list (12 most intense, 10° ≤ 2θ ≤ 80°, in order of rising 2θ)
| two_theta | I_rel |
| --- | --- |
| 10.95 | 1000 |
| 30.48 | 657 |
| 30.71 | 145 |
| 34.37 | 181 |
| 34.93 | 205 |
| 39.76 | 192 |
| 42.70 | 95 |
| 43.06 | 93 |
| 44.72 | 133 |
| 56.60 | 97 |
| 59.76 | 110 |
| 63.82 | 87 |